Diffraction record for Na2TeBr6O6. The X-ray powder pattern is simulated, not measured: it uses the GGA-PBE geometry in Alexandria and Cu Kα, 1.54184 Å.
No peak broadening, texture or thermal motion is included.

Principal peaks in the range 2θ = 10–90°, in order of rising 2θ:
hkl 1 1 0, 2θ = 11.70°, intensity 80; hkl 2 0 0, 2θ = 12.56°, intensity 50; hkl 2 0 -1, 2θ = 13.55°, intensity 68; hkl 1 1 1, 2θ = 20.02°, intensity 19; hkl 2 2 -1, 2θ = 24.09°, intensity 59; hkl 4 0 0, 2θ = 25.27°, intensity 19; hkl 4 0 -2, 2θ = 27.29°, intensity 70; hkl 2 2 1, 2θ = 30.08°, intensity 100; hkl 6 2 -1, 2θ = 39.72°, intensity 37; hkl 6 0 -3, 2θ = 41.49°, intensity 16; hkl 2 2 -3, 2θ = 42.39°, intensity 41; hkl 4 0 2, 2θ = 45.72°, intensity 17

Atomic structure:
```
data_Na2TeBr6O6
_chemical_formula_sum 'Na4 Te2 Br12 O12'
_cell_length_a 15.893
_cell_length_b 8.959
_cell_length_c 7.381
_cell_angle_alpha 90.00
_cell_angle_beta 117.51
_cell_angle_gamma 90.00
_symmetry_space_group_name_H-M 'C 1 2 1'
_symmetry_Int_Tables_number 5
_symmetry_space_group_name_Hall 'C 2y'
loop_
_atom_site_label
_atom_site_type_symbol
_atom_site_fract_x
_atom_site_fract_y
_atom_site_fract_z
Na1 Na 0.000 0.000 0.000
Na2 Na 0.000 0.250 0.500
Te1 Te 0.000 0.535 0.000
Br1 Br 0.102 0.508 0.792
Br2 Br 0.119 0.740 0.251
Br3 Br 0.126 0.290 0.247
O1 O 0.052 0.155 0.282
O2 O 0.121 0.993 0.775
O3 O 0.166 0.895 0.741
```

***

Diffraction record for NaOs2Br8. The X-ray powder pattern is simulated, not measured: it uses the GGA-PBE geometry in Alexandria and Cu Kα, 1.54184 Å.
No peak broadening, texture or thermal motion is included.

Principal peaks in the range 2θ = 10–90°, in order of rising 2θ:
hkl 0 1 0, 2θ = 12.46°, intensity 35; hkl 0 0 1, 2θ = 12.57°, intensity 100; hkl 1 0 0, 2θ = 13.05°, intensity 75; hkl 1 0 -1, 2θ = 14.69°, intensity 56; hkl 1 -1 0, 2θ = 15.11°, intensity 31; hkl 0 1 -1, 2θ = 15.58°, intensity 31; hkl 0 2 0, 2θ = 25.06°, intensity 64; hkl 2 0 -2, 2θ = 29.63°, intensity 31; hkl 2 -1 1, 2θ = 31.21°, intensity 38; hkl 0 2 -2, 2θ = 31.43°, intensity 21; hkl 2 0 -3, 2θ = 38.42°, intensity 32; hkl 2 -1 2, 2θ = 40.56°, intensity 29

Atomic structure:
```
data_NaOs2Br8
_chemical_formula_sum 'Na1 Os2 Br8'
_cell_length_a 7.446
_cell_length_b 7.521
_cell_length_c 7.569
_cell_angle_alpha 97.95
_cell_angle_beta 107.27
_cell_angle_gamma 104.01
_symmetry_space_group_name_H-M 'P -1'
_symmetry_Int_Tables_number 2
_symmetry_space_group_name_Hall '-P 1'
loop_
_atom_site_label
_atom_site_type_symbol
_atom_site_fract_x
_atom_site_fract_y
_atom_site_fract_z
Na1 Na 0.000 0.000 0.000
Os1 Os 0.452 0.840 0.965
Br1 Br 0.131 0.753 0.711
Br2 Br 0.269 0.760 0.179
Br3 Br 0.276 0.235 0.814
Br4 Br 0.414 0.241 0.283
```

***

Diffraction record for Na3PaBr7. The X-ray powder pattern is simulated, not measured: it uses the GGA-PBE geometry in Alexandria and Cu Kα, 1.54184 Å.
No peak broadening, texture or thermal motion is included.

Principal peaks in the range 2θ = 10–90°, in order of rising 2θ:
hkl 0 0 1, 2θ = 12.62°, intensity 41; hkl 1 1 0, 2θ = 12.84°, intensity 100; hkl 2 0 -1, 2θ = 14.93°, intensity 32; hkl 1 1 -1, 2θ = 15.10°, intensity 34; hkl 1 1 1, 2θ = 20.58°, intensity 21; hkl 0 2 1, 2θ = 23.83°, intensity 34; hkl 4 0 -2, 2θ = 30.11°, intensity 31; hkl 2 2 1, 2θ = 32.16°, intensity 63; hkl 5 1 -2, 2θ = 37.69°, intensity 25; hkl 2 2 -3, 2θ = 39.60°, intensity 34; hkl 0 4 0, 2θ = 40.93°, intensity 21; hkl 5 3 -2, 2θ = 48.03°, intensity 23

Atomic structure:
```
data_Na3PaBr7
_chemical_formula_sum 'Na6 Pa2 Br14'
_cell_length_a 12.589
_cell_length_b 8.819
_cell_length_c 7.987
_cell_angle_alpha 90.00
_cell_angle_beta 118.56
_cell_angle_gamma 90.00
_symmetry_space_group_name_H-M 'C 1 m 1'
_symmetry_Int_Tables_number 8
_symmetry_space_group_name_Hall 'C -2y'
loop_
_atom_site_label
_atom_site_type_symbol
_atom_site_fract_x
_atom_site_fract_y
_atom_site_fract_z
Na1 Na 0.000 0.000 0.000
Na2 Na 0.029 0.279 0.455
Pa1 Pa 0.123 0.500 0.037
Br1 Br 0.189 0.235 0.275
Br2 Br 0.210 0.500 0.755
Br3 Br 0.403 0.500 0.266
Br4 Br 0.432 0.000 0.142
Br5 Br 0.469 0.223 0.768
```

***

Diffraction record for Na2PaBr5. The X-ray powder pattern is simulated, not measured: it uses the GGA-PBE geometry in Alexandria and Cu Kα, 1.54184 Å.
No peak broadening, texture or thermal motion is included.

Principal peaks in the range 2θ = 10–90°, in order of rising 2θ:
hkl 0 0 1, 2θ = 12.75°, intensity 32; hkl 1 1 0, 2θ = 13.02°, intensity 100; hkl 2 0 -1, 2θ = 13.89°, intensity 44; hkl 2 0 0, 2θ = 14.36°, intensity 77; hkl 1 1 -1, 2θ = 15.64°, intensity 34; hkl 1 1 1, 2θ = 20.56°, intensity 25; hkl 4 0 -1, 2θ = 25.35°, intensity 66; hkl 2 2 -2, 2θ = 31.59°, intensity 33; hkl 2 2 1, 2θ = 32.24°, intensity 24; hkl 0 2 2, 2θ = 33.94°, intensity 58; hkl 4 2 -2, 2θ = 35.77°, intensity 16; hkl 0 4 0, 2θ = 44.51°, intensity 17

Atomic structure:
```
data_Na2PaBr5
_chemical_formula_sum 'Na4 Pa2 Br10'
_cell_length_a 14.066
_cell_length_b 8.145
_cell_length_c 7.919
_cell_angle_alpha 90.00
_cell_angle_beta 118.70
_cell_angle_gamma 90.00
_symmetry_space_group_name_H-M 'C 1 m 1'
_symmetry_Int_Tables_number 8
_symmetry_space_group_name_Hall 'C -2y'
loop_
_atom_site_label
_atom_site_type_symbol
_atom_site_fract_x
_atom_site_fract_y
_atom_site_fract_z
Na1 Na 0.000 0.000 0.000
Na2 Na 0.080 0.500 0.537
Pa1 Pa 0.100 0.500 0.018
Br1 Br 0.111 0.259 0.295
Br2 Br 0.277 0.500 0.948
Br3 Br 0.485 0.238 0.726
```